Record 1
Computed XRD peak list
Compound: CsNa10Cd3
Radiation: Cu Kα (weighted mean of Kα1 and Kα2)
Structure: DFT lattice parameters and positions (GGA-PBE)
Kinematic intensities with the Lorentz-polarization factor, no thermal factor.

Crystal structure
```
CsNa10Cd3
1.0
0.000 8.172 8.172
8.172 0.000 8.172
8.172 8.172 0.000
Cs Na Cd
2 20 6
Direct
0.250 0.250 0.250
0.750 0.750 0.750
0.000 0.000 0.335
0.000 0.000 0.665
0.000 0.335 0.000
0.000 0.335 0.665
0.000 0.665 0.000
0.000 0.665 0.335
0.176 0.608 0.608
0.335 0.000 0.000
0.335 0.000 0.665
0.335 0.665 0.000
0.392 0.392 0.392
0.392 0.392 0.824
0.392 0.824 0.392
0.608 0.176 0.608
0.608 0.608 0.176
0.608 0.608 0.608
0.665 0.000 0.000
0.665 0.000 0.335
0.665 0.335 0.000
0.824 0.392 0.392
0.268 0.268 0.732
0.268 0.732 0.268
0.268 0.732 0.732
0.732 0.268 0.268
0.732 0.268 0.732
0.732 0.732 0.268
```

Largest 10 diffraction maxima, in order of rising 2θ, 15 to 90 degrees two-theta:
18.81 deg, d 4.718, I = 100; 21.75 deg, d 4.086, I = 41; 28.38 deg, d 3.145, I = 15; 30.95 deg, d 2.889, I = 60; 36.47 deg, d 2.464, I = 72; 38.15 deg, d 2.359, I = 14; 48.56 deg, d 1.875, I = 23; 49.91 deg, d 1.827, I = 13; 55.05 deg, d 1.668, I = 22; 67.85 deg, d 1.381, I = 17


Record 2
Computed XRD peak list
Compound: TiBrCl3
Radiation: Cu Kα (weighted mean of Kα1 and Kα2)
Structure: DFT lattice parameters and positions (GGA-PBE)
Kinematic intensities with the Lorentz-polarization factor, no thermal factor.

Crystal structure
```
TiBrCl3
1.0
6.831 0.000 0.000
-0.009 7.143 0.000
-0.020 -0.015 8.492
Ti Br Cl
2 2 6
Direct
0.000 0.000 0.000
0.499 0.642 0.498
0.408 0.957 0.499
0.907 0.685 0.999
0.319 0.021 0.999
0.380 0.506 0.708
0.382 0.507 0.287
0.818 0.619 0.499
0.882 0.137 0.791
0.885 0.136 0.211
```

Largest 10 diffraction maxima, in order of rising 2θ, 15 to 90 degrees two-theta:
16.66 deg, d 5.322, I = 100; 20.81 deg, d 4.268, I = 28; 20.92 deg, d 4.246, I = 22; 24.39 deg, d 3.650, I = 36; 24.93 deg, d 3.571, I = 21; 26.09 deg, d 3.415, I = 43; 27.71 deg, d 3.219, I = 65; 28.20 deg, d 3.165, I = 32; 47.02 deg, d 1.933, I = 16; 51.47 deg, d 1.775, I = 14


Record 3
Computed XRD peak list
Compound: Zn3Sb
Radiation: Cu Kα (weighted mean of Kα1 and Kα2)
Structure: DFT lattice parameters and positions (GGA-PBE)
Kinematic intensities with the Lorentz-polarization factor, no thermal factor.

Crystal structure
```
Zn3Sb
1.0
-2.000 4.002 2.417
2.000 -4.002 2.417
2.000 4.002 -2.417
Zn Sb
3 1
Direct
0.000 0.000 0.000
0.229 0.495 0.735
0.760 0.495 0.265
0.498 0.998 0.500
```

Largest 10 diffraction maxima, in order of rising 2θ, 15 to 90 degrees two-theta:
24.88 deg, d 3.579, I = 5; 36.81 deg, d 2.442, I = 100; 37.20 deg, d 2.417, I = 25; 38.54 deg, d 2.336, I = 3; 45.32 deg, d 2.001, I = 29; 60.03 deg, d 1.541, I = 22; 66.04 deg, d 1.415, I = 8; 66.81 deg, d 1.400, I = 16; 78.07 deg, d 1.224, I = 19; 78.31 deg, d 1.221, I = 10


Record 4
Computed XRD peak list
Compound: Tb3MgIn2
Radiation: Cu Kα (weighted mean of Kα1 and Kα2)
Structure: DFT lattice parameters and positions (GGA-PBE)
Kinematic intensities with the Lorentz-polarization factor, no thermal factor.

Crystal structure
```
Tb3MgIn2
1.0
5.334 0.000 0.000
-2.667 4.620 0.000
0.000 0.000 13.050
Tb Mg In
6 2 4
Direct
0.000 0.000 0.248
0.000 0.000 0.752
0.333 0.667 0.419
0.333 0.667 0.919
0.667 0.333 0.081
0.667 0.333 0.581
0.333 0.667 0.668
0.667 0.333 0.332
0.000 0.000 0.000
0.000 0.000 0.500
0.333 0.667 0.175
0.667 0.333 0.825
```

Largest 10 diffraction maxima, in order of rising 2θ, 15 to 90 degrees two-theta:
20.40 deg, d 4.354, I = 4; 23.60 deg, d 3.770, I = 11; 33.61 deg, d 2.666, I = 100; 41.48 deg, d 2.177, I = 3; 48.27 deg, d 1.885, I = 18; 54.41 deg, d 1.686, I = 5; 60.11 deg, d 1.539, I = 37; 70.66 deg, d 1.333, I = 11; 75.67 deg, d 1.257, I = 2; 80.57 deg, d 1.192, I = 16